(1)
Starting from a cell relaxed with PBE, the X-ray diffraction stick pattern of Mg6ZnCd12 was computed for Cu Kα X-rays.
Kinematic intensities with the Lorentz-polarization factor, no thermal factor.

Structural model:
```
19
Lattice="5.4171 3.1276 4.0991 -5.4171 3.1276 4.0991 0.0000 -6.2552 4.0991" Properties=species:S:1:pos:R:3 pbc="T T T"
Mg -0.8341 -2.8685 5.6410
Mg -2.9013 -0.7119 6.6563
Mg -2.0672 2.1566 5.6410
Mg 2.0672 -2.1566 6.6563
Mg 2.9012 0.7119 5.6410
Mg 0.8341 2.8685 6.6563
Zn 0.0000 0.0000 6.1487
Cd -4.9555 1.1637 5.2174
Cd -3.4855 -3.7097 7.0800
Cd -1.7795 -0.4088 3.8665
Cd 1.4699 -4.8734 5.2174
Cd 1.2438 -1.3367 3.8665
Cd 0.5357 1.7455 3.8665
Cd -0.5357 -1.7455 8.4308
Cd -1.2438 1.3367 8.4308
Cd -1.4699 4.8734 7.0800
Cd 1.7795 0.4088 8.4308
Cd 3.4855 3.7097 5.2174
Cd 4.9555 -1.1637 7.0800
```

The 10 most intense peaks (2θ = 15–90°), sorted by position:
d_spacing	Rel. int.
3.730	29.0
3.407	76.7
3.128	36.3
2.546	100.0
2.486	87.6
2.397	89.0
2.379	75.1
2.323	72.6
1.411	41.7
1.212	23.7

(2)
Starting from a cell relaxed with PBE, the X-ray diffraction stick pattern of Mg2ZnCd4 was computed for Cu Kα X-rays.
Kinematic intensities with the Lorentz-polarization factor, no thermal factor.

Structural model:
```
14
Lattice="4.4273 0.0000 0.0000 2.1879 4.7582 0.0000 0.2146 1.6092 14.2439" Properties=species:S:1:pos:R:3 pbc="T T T"
Mg 1.1978 1.2906 6.1255
Mg 3.4968 5.8823 13.1708
Mg 3.3330 0.4851 1.0731
Mg 5.6320 5.0768 8.1184
Zn 3.4467 4.1540 9.7183
Zn 3.3831 2.2134 4.5255
Cd 1.0940 2.3791 0.0000
Cd 1.2292 2.2275 9.4347
Cd 1.1517 1.3483 3.0498
Cd 3.3196 3.3659 1.9515
Cd 3.4149 3.1837 7.1219
Cd 3.5103 3.0015 12.2924
Cd 5.6781 5.0191 11.1941
Cd 5.6006 4.1399 4.8092
```

The 10 most intense peaks (2θ = 15–90°), sorted by position:
d_spacing	Rel. int.
4.728	32.1
2.622	36.5
2.580	50.7
2.561	26.3
2.489	100.0
2.391	29.6
2.362	37.6
2.224	26.6
2.213	70.8
2.172	48.4

(3)
Starting from a cell relaxed with PBE, the X-ray diffraction stick pattern of Mg3ZnCd6 was computed for Cu Kα X-rays.
Kinematic intensities with the Lorentz-polarization factor, no thermal factor.

Structural model:
```
20
Lattice="8.7436 0.0000 0.0000 0.0000 4.7240 0.0000 -3.8505 0.0000 10.6477" Properties=species:S:1:pos:R:3 pbc="T T T"
Mg -1.1373 1.1810 3.4703
Mg 0.7654 3.5430 2.2330
Mg -1.5678 1.1810 9.5233
Mg 6.4609 3.5430 1.1244
Mg 4.1276 1.1810 8.4147
Mg 6.0303 3.5430 7.1774
Zn 1.6272 1.1810 7.1538
Zn 3.2659 3.5430 3.4939
Cd -3.3571 3.5430 9.9475
Cd -1.1285 1.1810 6.5513
Cd 0.1940 3.5430 5.2009
Cd 1.8183 1.1810 4.0697
Cd 0.3420 3.5430 8.3413
Cd 3.3810 3.5430 0.6064
Cd 1.5120 1.1810 10.0413
Cd 4.5510 1.1810 2.3065
Cd 3.0747 3.5430 6.5780
Cd 4.6990 1.1810 5.4468
Cd 6.0216 3.5430 4.0964
Cd 8.2501 1.1810 0.7002
```

The 10 most intense peaks (2θ = 15–90°), sorted by position:
d_spacing	Rel. int.
3.550	29.2
2.482	23.3
2.474	100.0
2.428	99.4
2.362	53.3
2.324	35.4
1.820	16.9
1.657	23.3
1.384	18.4
1.376	21.4

(4)
Starting from a cell relaxed with PBE, the X-ray diffraction stick pattern of MgZn5Cd was computed for Cu Kα X-rays.
Kinematic intensities with the Lorentz-polarization factor, no thermal factor.

Structural model:
```
28
Lattice="8.0644 0.0000 0.0000 0.0000 5.4212 0.0000 0.0000 0.0000 11.0870" Properties=species:S:1:pos:R:3 pbc="T T T"
Mg 2.0061 1.3553 0.6397
Mg 2.0261 4.0659 6.1832
Mg 6.0383 1.3553 4.9038
Mg 6.0583 4.0659 10.4473
Zn 0.5317 0.0471 3.5585
Zn 0.5317 2.6635 3.5585
Zn 0.5299 4.0659 1.1141
Zn 0.8581 1.3553 5.7867
Zn 1.5015 1.3553 8.3532
Zn 2.5307 4.0659 2.8097
Zn 3.1741 4.0659 0.2432
Zn 3.5023 1.3553 6.6576
Zn 3.5005 2.7577 9.1020
Zn 3.5005 5.3741 9.1020
Zn 4.5639 0.0471 1.9850
Zn 4.5639 2.6635 1.9850
Zn 4.5621 4.0659 4.4294
Zn 4.8903 1.3553 10.8438
Zn 5.5337 1.3553 8.2773
Zn 6.5629 4.0659 2.7338
Zn 7.2063 4.0659 5.3003
Zn 7.5345 1.3553 9.9729
Zn 7.5327 2.7577 7.5285
Zn 7.5327 5.3741 7.5285
Cd 0.9507 4.0659 9.5414
Cd 3.0815 1.3553 3.9979
Cd 4.9829 4.0659 7.0891
Cd 7.1137 1.3553 1.5456
```

The 10 most intense peaks (2θ = 15–90°), sorted by position:
d_spacing	Rel. int.
4.169	37.7
2.711	16.7
2.621	16.0
2.503	13.8
2.435	22.1
2.353	41.3
2.205	44.1
2.138	20.7
2.107	100.0
1.984	14.3